Starting from a structure optimized by DFT (GGA-PBE), the powder X-ray diffraction pattern of NdHSe was computed for λ = 1.5418 Å (Cu Kα).
Intensities are scaled so that the largest is 100.

Peak list (10 most intense, 2θ from 10° to 80°, by angle)
d = 3.190 Å, intensity 100, hkl 1 0 1; d = 2.626 Å, intensity 90, hkl 1 0 2; d = 2.118 Å, intensity 32, hkl 1 0 3; d = 2.008 Å, intensity 45, hkl 1 1 0; d = 2.002 Å, intensity 15, hkl 0 0 4; d = 1.699 Å, intensity 16, hkl 2 0 1; d = 1.595 Å, intensity 20, hkl 2 0 2; d = 1.418 Å, intensity 29, hkl 1 1 4; d = 1.297 Å, intensity 13, hkl 2 1 1; d = 1.249 Å, intensity 17, hkl 2 1 2

Unit cell a=4.015 b=4.015 c=8.009 alpha=90.00 beta=90.00 gamma=120.00
Fractional positions:
Nd 0.333 0.667 0.250
Nd 0.667 0.333 0.750
H 0.333 0.667 0.750
H 0.667 0.333 0.250
Se 0.000 0.000 0.000
Se 0.000 0.000 0.500